For K3PaCu2O8, a DFT-relaxed cell (PBE, Alexandria) gives the theoretical PXRD pattern in this record (Cu Kα (weighted mean of Kα1 and Kα2)).

Most intense lines, 2θ from 10° to 80°, in order of rising 2θ:
- 11.41 deg, 7.756 Å, rel. 64, hkl 0 0 1
- 17.12 deg, 5.179 Å, rel. 35, hkl 1 0 0
- 20.62 deg, 4.307 Å, rel. 89, hkl 1 0 1
- 28.76 deg, 3.104 Å, rel. 100, hkl 0 1 2
- 29.88 deg, 2.990 Å, rel. 95, hkl 1 1 0
- 38.94 deg, 2.313 Å, rel. 21, hkl 0 1 3
- 41.95 deg, 2.153 Å, rel. 49, hkl 2 0 2
- 47.93 deg, 1.898 Å, rel. 20, hkl 2 1 1
- 52.36 deg, 1.747 Å, rel. 38, hkl 1 2 2
- 56.57 deg, 1.627 Å, rel. 22, hkl 1 1 4

Cell and atoms:
Cell: 5.9798 5.9798 7.7560 Å, 90.00 90.00 120.00°
Space group P-3m1 (No. 164)
Unique sites:
K1 0.0000 0.0000 0.0000 x1
K2 0.3333 0.6667 0.6721 x2
Pa1 0.0000 0.0000 0.5000 x1
Cu1 0.3333 0.6667 0.2365 x2
O1 0.1672 0.3343 0.3369 x6
O2 0.3333 0.6667 0.0123 x2